1.
This entry pairs a crystal structure of Li4Co2Cu3Sb3O16 with its simulated X-ray diffraction stick pattern. Radiation: CuKα. Structure: a PBE+U-relaxed structure.

Most intense lines, 10 to 90 degrees two-theta, by angle:
d/Å  intensity
4.852  100
4.633  96
2.581  36
2.542  79
2.047  42
1.517  27

Unit cell a=6.0679 b=6.0679 c=9.7044 alpha=90.46 beta=90.46 gamma=60.27
Fractional positions:
Li  0.0000  0.0000  0.0000
Li  0.0128  0.0128  0.5183
Li  0.3535  0.3535  0.4096
Li  0.6928  0.6928  0.8961
Co  0.3812  0.3812  0.9882
Co  0.6975  0.6975  0.5160
Cu  0.1972  0.6880  0.7236
Cu  0.6880  0.1972  0.7236
Cu  0.8586  0.8586  0.2322
Sb  0.1975  0.1975  0.7288
Sb  0.3645  0.8578  0.2266
Sb  0.8578  0.3645  0.2266
O  0.0218  0.0218  0.8135
O  0.0379  0.0379  0.3351
O  0.0601  0.5053  0.8521
O  0.1827  0.1827  0.1113
O  0.1916  0.7040  0.1175
O  0.3489  0.8684  0.6108
O  0.3608  0.3608  0.6196
O  0.5053  0.0601  0.8521
O  0.5063  0.5063  0.8683
O  0.5387  0.9866  0.3487
O  0.5411  0.5411  0.3507
O  0.6802  0.6802  0.1085
O  0.7040  0.1916  0.1175
O  0.8455  0.8455  0.6005
O  0.8684  0.3489  0.6108
O  0.9866  0.5387  0.3487

***

2.
This entry pairs a crystal structure of Li4Co2Cu3Sb3O16 with its simulated X-ray diffraction stick pattern. Radiation: CuKα. Structure: a PBE+U-relaxed structure.

Most intense lines, 10 to 90 degrees two-theta, by angle:
d/Å  intensity
4.846  100
4.636  84
3.580  23
2.582  27
2.540  46
2.048  43

Unit cell a=6.0503 b=6.0719 c=9.6934 alpha=89.36 beta=89.21 gamma=60.23
Fractional positions:
Li  0.0000  0.0000  0.0000
Li  0.0127  0.0131  0.4808
Li  0.3194  0.3181  0.3778
Li  0.6588  0.6579  0.8917
Co  0.3109  0.3125  0.9947
Co  0.6328  0.6321  0.4693
Cu  0.1550  0.1551  0.7145
Cu  0.3250  0.8145  0.2051
Cu  0.8158  0.3260  0.2045
Sb  0.1548  0.6486  0.7076
Sb  0.6492  0.1543  0.7080
Sb  0.8157  0.8165  0.2093
O  0.0240  0.4756  0.8293
O  0.1429  0.6662  0.0938
O  0.1552  0.1726  0.0839
O  0.3082  0.8201  0.5989
O  0.3324  0.3316  0.5907
O  0.4714  0.4704  0.8316
O  0.4744  0.0241  0.8295
O  0.5075  0.9500  0.3345
O  0.5124  0.4979  0.3485
O  0.6521  0.6510  0.1016
O  0.6637  0.1403  0.0928
O  0.8228  0.3066  0.6000
O  0.8301  0.8305  0.5923
O  0.9514  0.5132  0.3363
O  0.9751  0.9738  0.8160
O  0.9890  0.9919  0.2964

***

3.
This entry pairs a crystal structure of Li4Co3Cu3Te2O16 with its simulated X-ray diffraction stick pattern. Radiation: CuKα. Structure: a PBE+U-relaxed structure.

Most intense lines, 10 to 90 degrees two-theta, by angle:
d/Å  intensity
4.679  47
4.538  55
4.489  59
4.404  100
4.370  54
2.465  67

Unit cell a=5.7550 b=5.8803 c=9.5913 alpha=93.52 beta=90.19 gamma=118.53
Fractional positions:
Li  0.0000  0.0000  0.0000
Li  0.0054  0.0214  0.5052
Li  0.3266  0.6724  0.4280
Li  0.6582  0.3044  0.9306
Co  0.1693  0.3473  0.7334
Co  0.3411  0.1730  0.2301
Co  0.8329  0.1755  0.2312
Cu  0.1748  0.8430  0.7275
Cu  0.6614  0.8383  0.7274
Cu  0.8331  0.6678  0.2289
Te  0.3296  0.6507  0.0047
Te  0.6656  0.3512  0.4987
O  0.0049  0.0214  0.8087
O  0.0100  0.0160  0.3164
O  0.0214  0.4851  0.8725
O  0.1612  0.3245  0.1189
O  0.1757  0.8407  0.1055
O  0.3258  0.6537  0.6396
O  0.3464  0.1920  0.6055
O  0.4514  0.4654  0.8722
O  0.4814  0.9391  0.8734
O  0.4862  0.4650  0.3636
O  0.5229  0.0443  0.3499
O  0.6595  0.3237  0.1356
O  0.6736  0.8321  0.1080
O  0.8347  0.6941  0.5989
O  0.8422  0.2031  0.6034
O  0.9604  0.4780  0.3613

***

4.
This entry pairs a crystal structure of Li4V2Co3Cu3O16 with its simulated X-ray diffraction stick pattern. Radiation: CuKα. Structure: a PBE+U-relaxed structure.

Most intense lines, 10 to 90 degrees two-theta, by angle:
d/Å  intensity
4.649  100
4.426  44
4.374  60
2.421  30
2.406  43
1.447  33

Unit cell a=5.7911 b=5.7911 c=9.3011 alpha=91.35 beta=91.35 gamma=59.64
Fractional positions:
Li  0.0000  0.0000  0.0000
Li  0.0004  0.0004  0.4987
Li  0.3299  0.3299  0.4009
Li  0.6598  0.6598  0.9040
V  0.3294  0.3294  0.0070
V  0.6628  0.6628  0.5019
Co  0.1698  0.1698  0.7207
Co  0.3404  0.8268  0.2196
Co  0.8268  0.3404  0.2196
Cu  0.1665  0.6553  0.7206
Cu  0.6553  0.1665  0.7206
Cu  0.8269  0.8269  0.2216
O  0.0030  0.0030  0.3076
O  0.0036  0.0036  0.8078
O  0.0376  0.4622  0.8481
O  0.1700  0.1700  0.1041
O  0.1768  0.6529  0.0939
O  0.3251  0.3251  0.6153
O  0.3460  0.8328  0.5958
O  0.4622  0.0376  0.8481
O  0.4711  0.4711  0.8569
O  0.5049  0.9529  0.3463
O  0.5184  0.5184  0.3385
O  0.6529  0.1768  0.0939
O  0.6594  0.6594  0.1158
O  0.8252  0.8252  0.5828
O  0.8328  0.3460  0.5958
O  0.9529  0.5049  0.3463

***

5.
This entry pairs a crystal structure of Li4V2Co3Cu3O16 with its simulated X-ray diffraction stick pattern. Radiation: CuKα. Structure: a PBE+U-relaxed structure.

Most intense lines, 10 to 90 degrees two-theta, by angle:
d/Å  intensity
4.713  100
4.413  24
4.347  43
2.452  42
2.411  27
1.467  26

Unit cell a=5.7924 b=5.8459 c=9.4496 alpha=86.13 beta=89.15 gamma=60.68
Fractional positions:
Li  0.0000  0.0000  0.0000
Li  0.0092  0.9963  0.5039
Li  0.3358  0.3248  0.5933
Li  0.6658  0.6691  0.0919
V  0.3412  0.3231  0.9982
V  0.6692  0.6424  0.4975
Co  0.6593  0.1660  0.2823
Co  0.8309  0.8308  0.7671
Co  0.8335  0.3493  0.7809
Cu  0.1683  0.1739  0.2771
Cu  0.1732  0.6585  0.2783
Cu  0.3428  0.8250  0.7837
O  0.0041  0.0178  0.6983
O  0.0453  0.4940  0.1426
O  0.1438  0.2213  0.9091
O  0.1812  0.6725  0.9059
O  0.3446  0.3177  0.3826
O  0.3504  0.8154  0.4088
O  0.4736  0.0418  0.1403
O  0.4936  0.4685  0.1543
O  0.5092  0.9503  0.6513
O  0.5619  0.4779  0.6415
O  0.6500  0.1919  0.9006
O  0.6693  0.6577  0.8794
O  0.8211  0.8416  0.4086
O  0.8375  0.3488  0.4022
O  0.9648  0.5202  0.6506
O  0.9870  0.0139  0.1914

***

6.
This entry pairs a crystal structure of Mg14CoCuO16 with its simulated X-ray diffraction stick pattern. Radiation: CuKα. Structure: a PBE+U-relaxed structure.

Most intense lines, 10 to 90 degrees two-theta, by angle:
d/Å  intensity
8.504  17
2.458  29
2.130  100
2.126  50
1.505  85
1.229  26

Unit cell a=4.2558 b=8.5039 c=8.5272 alpha=90.00 beta=90.00 gamma=90.00
Fractional positions:
Mg  0.0000  0.0000  0.0000
Mg  0.0000  0.0000  0.5000
Mg  0.0000  0.2510  0.2504
Mg  0.0000  0.2510  0.7496
Mg  0.0000  0.7490  0.2504
Mg  0.0000  0.7490  0.7496
Mg  0.5000  0.0000  0.2500
Mg  0.5000  0.0000  0.7500
Mg  0.5000  0.2516  0.0000
Mg  0.5000  0.2519  0.5000
Mg  0.5000  0.5000  0.2486
Mg  0.5000  0.5000  0.7514
Mg  0.5000  0.7484  0.0000
Mg  0.5000  0.7481  0.5000
Co  0.0000  0.5000  0.0000
Cu  0.0000  0.5000  0.5000
O  0.0000  0.0000  0.2505
O  0.0000  0.0000  0.7495
O  0.0000  0.2475  0.0000
O  0.0000  0.2486  0.5000
O  0.0000  0.5000  0.2405
O  0.0000  0.5000  0.7595
O  0.0000  0.7514  0.5000
O  0.0000  0.7525  0.0000
O  0.5000  0.0000  0.0000
O  0.5000  0.0000  0.5000
O  0.5000  0.2509  0.2505
O  0.5000  0.2509  0.7495
O  0.5000  0.5000  0.0000
O  0.5000  0.5000  0.5000
O  0.5000  0.7491  0.2505
O  0.5000  0.7491  0.7495

***

7.
This entry pairs a crystal structure of MgCo4Cu2O8 with its simulated X-ray diffraction stick pattern. Radiation: CuKα. Structure: a PBE+U-relaxed structure.

Most intense lines, 10 to 90 degrees two-theta, by angle:
d/Å  intensity
2.938  60
2.611  84
2.557  97
2.513  100
2.127  61
2.117  60

Unit cell a=5.8483 b=5.8668 c=6.1687 alpha=90.24 beta=117.40 gamma=119.71
Fractional positions:
Mg  0.0000  0.0000  0.0000
Co  0.0000  0.5000  0.0000
Co  0.0000  0.5000  0.5000
Co  0.2993  0.1490  0.4667
Co  0.7007  0.8510  0.5333
Cu  0.5000  0.0000  0.0000
Cu  0.5000  0.5000  0.0000
O  0.0030  0.2503  0.7537
O  0.0072  0.7573  0.7534
O  0.4523  0.7274  0.1762
O  0.4866  0.2430  0.2485
O  0.5134  0.7570  0.7515
O  0.5477  0.2726  0.8238
O  0.9928  0.2427  0.2466
O  0.9970  0.7497  0.2463

***

8.
This entry pairs a crystal structure of MgCo4Cu2O8 with its simulated X-ray diffraction stick pattern. Radiation: CuKα. Structure: a PBE+U-relaxed structure.

Most intense lines, 10 to 90 degrees two-theta, by angle:
d/Å  intensity
2.581  100
2.541  95
2.522  88
2.485  76
2.117  83
2.112  82

Unit cell a=5.7545 b=5.7550 c=6.0973 alpha=116.75 beta=91.37 gamma=119.69
Fractional positions:
Mg  0.0000  0.0000  0.0000
Co  0.0065  0.5077  0.9946
Co  0.5127  0.0113  0.0045
Co  0.5131  0.5130  0.9995
Co  0.5311  0.0313  0.4999
Cu  0.2368  0.4537  0.4857
Cu  0.9664  0.7495  0.5137
O  0.2590  0.4982  0.2033
O  0.2692  0.9790  0.2198
O  0.2814  0.5600  0.8203
O  0.2956  0.0550  0.7939
O  0.7286  0.9720  0.2132
O  0.7386  0.4598  0.1789
O  0.7599  0.0498  0.7793
O  0.7598  0.5166  0.7861

***

9.
This entry pairs a crystal structure of Mg6CoCuO8 with its simulated X-ray diffraction stick pattern. Radiation: CuKα. Structure: a PBE+U-relaxed structure.

Most intense lines, 10 to 90 degrees two-theta, by angle:
d/Å  intensity
8.531  56
2.457  43
2.133  51
2.125  100
1.505  57
1.503  28

Unit cell a=4.2502 b=4.2502 c=8.5312 alpha=90.00 beta=90.00 gamma=90.00
Fractional positions:
Mg  0.0000  0.0000  0.0000
Mg  0.0000  0.5000  0.2522
Mg  0.0000  0.5000  0.7478
Mg  0.5000  0.0000  0.2522
Mg  0.5000  0.0000  0.7478
Mg  0.5000  0.5000  0.0000
Co  0.0000  0.0000  0.5000
Cu  0.5000  0.5000  0.5000
O  0.0000  0.0000  0.2475
O  0.0000  0.0000  0.7525
O  0.0000  0.5000  0.0000
O  0.0000  0.5000  0.5000
O  0.5000  0.0000  0.0000
O  0.5000  0.0000  0.5000
O  0.5000  0.5000  0.2491
O  0.5000  0.5000  0.7509

***

10.
This entry pairs a crystal structure of MgCo4Cu3O12 with its simulated X-ray diffraction stick pattern. Radiation: CuKα. Structure: a PBE+U-relaxed structure.

Most intense lines, 10 to 90 degrees two-theta, by angle:
d/Å  intensity
2.941  7
2.547  100
1.801  26
1.470  48
1.273  12
1.139  16

Unit cell a=6.2383 b=6.2383 c=6.2383 alpha=109.47 beta=109.47 gamma=109.47
Fractional positions:
Mg  0.0000  0.0000  0.0000
Co  0.0000  0.0000  0.5000
Co  0.0000  0.5000  0.0000
Co  0.5000  0.0000  0.0000
Co  0.5000  0.5000  0.5000
Cu  0.0000  0.5000  0.5000
Cu  0.5000  0.0000  0.5000
Cu  0.5000  0.5000  0.0000
O  0.1337  0.8281  0.3057
O  0.1719  0.3057  0.4776
O  0.1719  0.6943  0.8663
O  0.3057  0.1337  0.8281
O  0.3057  0.4776  0.1719
O  0.4776  0.1719  0.3057
O  0.5224  0.8281  0.6943
O  0.6943  0.5224  0.8281
O  0.6943  0.8663  0.1719
O  0.8281  0.3057  0.1337
O  0.8281  0.6943  0.5224
O  0.8663  0.1719  0.6943